For BeCdRhO5, a crystal structure in Alexandria, relaxed with GGA-PBE gives the computed powder XRD pattern in this record (Cu Kα, 1.54184 Å).
Intensities are scaled so that the largest is 100.

Cell and atoms:
a b c (Å): 6.4104 8.7348 7.0737
angles (deg): 90.00 114.96 90.00
Space group C2/c (No. 15)
Asymmetric unit:
Be: 0.0000 0.1917 0.2500
Cd: 0.0000 0.1579 0.7500
Rh: 0.0000 0.5000 0.0000
O: 0.0000 0.4156 0.7500
O: 0.1106 0.2966 0.1259
O: 0.1823 0.0664 0.4142

Principal peaks in the range 15° ≤ 2θ ≤ 90°, in order of rising 2θ:
2θ/deg	intensity
18.7	49
24.7	29
27.4	100
30.8	58
34.5	66
34.7	49
39.7	26
44.5	36
50.6	24
57.1	22